Structure and computed powder diffractogram of LiZrRu (a PBE-relaxed structure; Cu Ka).
No peak broadening, texture or thermal motion is included.

Structure:
```
data_LiZrRu
_symmetry_space_group_name_H-M 'P -3 m 1'
_symmetry_Int_Tables_number 164
_symmetry_space_group_name_Hall '-P 3 2"'
_cell_length_a 4.6497
_cell_length_b 4.6497
_cell_length_c 5.3357
_cell_angle_alpha 90.00
_cell_angle_beta 90.00
_cell_angle_gamma 120.00
loop_
_atom_site_label
_atom_site_type_symbol
_atom_site_fract_x
_atom_site_fract_y
_atom_site_fract_z
_atom_site_occupancy
Li1 Li 0.0000 0.0000 0.0000 1
Li2 Li 0.0000 0.0000 0.5000 1
Zr1 Zr 0.3333 0.6667 0.3049 1
Ru1 Ru 0.3333 0.6667 0.8038 1
```

The 8 most intense peaks (2θ = 10–90°), by intensity:
2θ/deg  I (rel.)  hkl
38.7  100  1 1 0
22.1  94  1 0 0
40.6  78  1 0 2
52.2  44  1 1 2
71.3  28  2 1 2
57.3  28  0 2 2
33.6  27  0 0 2
75.0  19  1 0 4

=====

Structure and computed powder diffractogram of LiZrRu (a PBE-relaxed structure; Cu Ka).
No peak broadening, texture or thermal motion is included.

Structure:
```
data_LiZrRu
_symmetry_space_group_name_H-M 'C 1 2/c 1'
_symmetry_Int_Tables_number 15
_symmetry_space_group_name_Hall '-C 2yc'
_cell_length_a 5.1114
_cell_length_b 8.2099
_cell_length_c 5.1105
_cell_angle_alpha 90.00
_cell_angle_beta 111.26
_cell_angle_gamma 90.00
loop_
_atom_site_label
_atom_site_type_symbol
_atom_site_fract_x
_atom_site_fract_y
_atom_site_fract_z
_atom_site_occupancy
Li1 Li 0.0000 0.0240 0.2500 1
Zr1 Zr 0.0000 0.3649 0.2500 1
Ru1 Ru 0.0000 0.3007 0.7500 1
```

The 8 most intense peaks (2θ = 10–90°), by intensity:
2θ/deg  I (rel.)  hkl
21.6  100  0 2 0
37.8  78  2 0 0
37.9  53  1 3 0
42.9  27  2 0 -2
49.1  25  1 3 -2
39.2  22  1 3 -1
44.0  20  2 2 0
37.2  16  1 1 -2

=====

Structure and computed powder diffractogram of LiZrRu2 (a PBE-relaxed structure; Cu Ka).
No peak broadening, texture or thermal motion is included.

Structure:
```
data_LiZrRu2
_symmetry_space_group_name_H-M 'C 1 2/m 1'
_symmetry_Int_Tables_number 12
_symmetry_space_group_name_Hall '-C 2y'
_cell_length_a 8.7639
_cell_length_b 3.1572
_cell_length_c 4.7710
_cell_angle_alpha 90.00
_cell_angle_beta 110.63
_cell_angle_gamma 90.00
loop_
_atom_site_label
_atom_site_type_symbol
_atom_site_fract_x
_atom_site_fract_y
_atom_site_fract_z
_atom_site_occupancy
Li1 Li 0.0000 0.0000 0.0000 1
Zr1 Zr 0.0000 0.5000 0.5000 1
Ru1 Ru 0.2448 0.5000 0.2246 1
```

The 8 most intense peaks (2θ = 10–90°), by intensity:
2θ/deg  I (rel.)  hkl
38.7  100  1 1 1
43.1  75  3 1 -1
38.5  50  2 0 -2
44.2  35  4 0 0
21.7  29  2 0 0
23.7  24  2 0 -1
30.3  19  1 1 0
53.2  18  2 0 2